Starting from a structure optimized by DFT (GGA+U), the X-ray powder pattern of LiTl2WO4 was simulated for a wavelength of 1.5418 Å.

Principal peaks in the range 10 to 80 degrees two-theta, by angle:
- 2θ 21.71, rel. 100
- 2θ 26.92, rel. 20
- 2θ 28.16, rel. 37
- 2θ 30.30, rel. 25
- 2θ 30.60, rel. 55
- 2θ 36.83, rel. 30
- 2θ 41.38, rel. 14
- 2θ 43.60, rel. 16
- 2θ 49.40, rel. 18
- 2θ 53.24, rel. 19

a = 12.722 Å, b = 11.586 Å, c = 6.480 Å
α = 84.51°, β = 65.03°, γ = 30.47°
Fractional coordinates of all 16 atoms:
Li: 0.125 0.125 0.125
Li: 0.875 0.875 0.875
Tl: 0.018 0.018 0.732
Tl: 0.268 0.268 0.982
Tl: 0.732 0.732 0.018
Tl: 0.982 0.982 0.268
W: 0.375 0.375 0.375
W: 0.625 0.625 0.625
O: 0.029 0.631 0.555
O: 0.284 0.555 0.631
O: 0.369 0.971 0.716
O: 0.445 0.716 0.971
O: 0.555 0.284 0.029
O: 0.631 0.029 0.284
O: 0.716 0.445 0.369
O: 0.971 0.369 0.445